[1]
The following is a computed powder diffractogram of Li2FeB2O6. It was derived from DFT lattice parameters and positions (PBE+U), using Cu Kα X-rays.

Cell lengths 3.0617, 14.8194, 9.1556 Å; angles 90.00, 92.60, 90.00 degrees
Element x y z (fractional)
Li1 0.2071 0.2453 0.1078
Li2 0.2071 0.2547 0.6078
Li3 0.2138 0.0439 0.6181
Li4 0.2138 0.4561 0.1181
Li5 0.7862 0.5439 0.8819
Li6 0.7862 0.9561 0.3819
Li7 0.7929 0.7453 0.3922
Li8 0.7929 0.7547 0.8922
Fe1 0.3111 0.6315 0.6273
Fe2 0.3111 0.8685 0.1273
Fe3 0.6889 0.1315 0.8727
Fe4 0.6889 0.3685 0.3727
B1 0.3438 0.0759 0.1646
B2 0.3438 0.4241 0.6646
B3 0.3658 0.6573 0.1041
B4 0.3658 0.8427 0.6041
B5 0.6342 0.1573 0.3959
B6 0.6342 0.3427 0.8959
B7 0.6562 0.5759 0.3354
B8 0.6562 0.9241 0.8354
O1 0.1755 0.1595 0.7525
O2 0.1755 0.3405 0.2525
O3 0.2247 0.1003 0.0211
O4 0.2247 0.3997 0.5211
O5 0.2737 0.5844 0.0208
O6 0.2737 0.9156 0.5208
O7 0.3075 0.7410 0.0389
O8 0.3075 0.7590 0.5389
O9 0.3304 0.5070 0.7218
O10 0.3304 0.9930 0.2218
O11 0.4834 0.1519 0.2490
O12 0.4834 0.3481 0.7490
O13 0.5166 0.6519 0.2510
O14 0.5166 0.8481 0.7510
O15 0.6696 0.0070 0.7782
O16 0.6696 0.4930 0.2782
O17 0.6925 0.2410 0.4611
O18 0.6925 0.2590 0.9611
O19 0.7263 0.0844 0.4792
O20 0.7263 0.4156 0.9792
O21 0.7753 0.6003 0.4789
O22 0.7753 0.8997 0.9789
O23 0.8245 0.6595 0.7475
O24 0.8245 0.8405 0.2475

Peak list (12 most intense, 2θ = 15–90°, low angle first)
2θ/deg, I_rel
15.4, 57.9
20.3, 100.0
20.4, 29.0
24.0, 75.6
29.2, 23.8
29.9, 50.1
31.8, 22.4
34.5, 70.2
35.1, 24.6
36.1, 65.6
41.6, 39.0
44.6, 41.2



[2]
The following is a computed powder diffractogram of MgV2Zn4O8. It was derived from DFT lattice parameters and positions (PBE+U), using Cu Kα X-rays.

Cell lengths 6.2735, 6.2735, 6.2735 Å; angles 122.64, 120.90, 86.96 degrees
Element x y z (fractional)
Mg1 0.0000 0.0000 0.0000
V1 0.1427 0.3992 0.7435
V2 0.6558 0.3992 0.2565
Zn1 0.2076 0.4926 0.2850
Zn2 0.2076 0.9226 0.7150
Zn3 0.5579 0.0579 0.5000
Zn4 0.7108 0.7108 0.0000
O1 0.3392 0.6204 0.7188
O2 0.3843 0.1674 0.2169
O3 0.4190 0.1889 0.7699
O4 0.4190 0.6490 0.2301
O5 0.8747 0.1363 0.2615
O6 0.8747 0.6132 0.7385
O7 0.9016 0.6204 0.2812
O8 0.9505 0.1674 0.7831

Peak list (12 most intense, 2θ = 15–90°, low angle first)
2θ/deg, I_rel
28.9, 39.8
32.9, 23.9
33.1, 81.3
34.0, 89.4
34.6, 100.0
35.1, 28.7
44.9, 26.1
51.9, 20.6
54.9, 40.1
59.0, 32.5
59.8, 25.2
61.0, 29.4



[3]
The following is a computed powder diffractogram of Ti4FeBi6O18. It was derived from DFT lattice parameters and positions (PBE+U), using Cu Kα X-rays.

Cell lengths 24.4735, 4.0448, 24.4609 Å; angles 85.44, 9.48, 85.08 degrees
Element x y z (fractional)
Ti1 0.0825 0.9175 0.0825
Ti2 0.1558 0.8236 0.1764
Ti3 0.8236 0.1558 0.8442
Ti4 0.9175 0.0825 0.9175
Fe1 0.9868 0.9868 0.0132
Bi1 0.3631 0.8117 0.1883
Bi2 0.4284 0.6806 0.3194
Bi3 0.5317 0.6069 0.3931
Bi4 0.6069 0.5317 0.4683
Bi5 0.6806 0.4284 0.5716
Bi6 0.8117 0.3631 0.6369
O1 0.0166 0.3683 0.1476
O2 0.0521 0.8087 0.1913
O3 0.0998 0.2936 0.2192
O4 0.1493 0.7443 0.2557
O5 0.2785 0.2785 0.2215
O6 0.2936 0.0998 0.3875
O7 0.3683 0.0166 0.4676
O8 0.4737 0.9163 0.5263
O9 0.5324 0.8524 0.6317
O10 0.6125 0.7808 0.7064
O11 0.7443 0.1493 0.8507
O12 0.7785 0.7785 0.7215
O13 0.7808 0.6125 0.9002
O14 0.8087 0.0521 0.9479
O15 0.8524 0.5324 0.9834
O16 0.8917 0.9785 0.0215
O17 0.9163 0.4737 0.0837
O18 0.9785 0.8917 0.1083

Peak list (12 most intense, 2θ = 15–90°, low angle first)
2θ/deg, I_rel
21.9, 12.8
22.1, 45.5
27.6, 20.7
30.0, 100.0
30.7, 29.2
31.9, 28.9
38.0, 12.9
39.1, 16.9
44.8, 29.8
49.7, 17.5
54.1, 16.9
55.6, 18.7



[4]
The following is a computed powder diffractogram of Na2SrV2CoO8. It was derived from DFT lattice parameters and positions (PBE+U), using Cu Kα X-rays.

Cell lengths 13.8562, 5.5799, 9.7000 Å; angles 90.00, 90.09, 90.00 degrees
Element x y z (fractional)
Na1 0.0834 0.0192 0.3192
Na2 0.0834 0.4808 0.8192
Na3 0.4165 0.5194 0.1502
Na4 0.4165 0.9806 0.6502
Na5 0.5835 0.0194 0.3498
Na6 0.5835 0.4806 0.8498
Na7 0.9166 0.5192 0.1808
Na8 0.9166 0.9808 0.6808
Sr1 0.2495 0.5544 0.4619
Sr2 0.2495 0.9456 0.9619
Sr3 0.7505 0.0544 0.0381
Sr4 0.7505 0.4456 0.5381
V1 0.1347 0.0175 0.6503
V2 0.1347 0.4825 0.1503
V3 0.3651 0.0315 0.3171
V4 0.3651 0.4685 0.8171
V5 0.6349 0.5315 0.1829
V6 0.6349 0.9685 0.6829
V7 0.8653 0.5175 0.8497
V8 0.8653 0.9825 0.3497
Co1 0.0000 0.0000 0.0000
Co2 0.0000 0.5000 0.5000
Co3 0.5000 0.0000 0.0000
Co4 0.5000 0.5000 0.5000
O1 0.0750 0.0073 0.8079
O2 0.0750 0.4927 0.3079
O3 0.0840 0.7003 0.0413
O4 0.0840 0.7997 0.5413
O5 0.1171 0.1941 0.0806
O6 0.1171 0.3059 0.5806
O7 0.2455 0.0216 0.3599
O8 0.2455 0.4784 0.8599
O9 0.2530 0.5519 0.1829
O10 0.2530 0.9481 0.6829
O11 0.3849 0.0063 0.1378
O12 0.3849 0.4937 0.6378
O13 0.4144 0.1958 0.8729
O14 0.4144 0.3042 0.3729
O15 0.4235 0.6968 0.9059
O16 0.4235 0.8032 0.4059
O17 0.5765 0.1968 0.5941
O18 0.5765 0.3032 0.0941
O19 0.5856 0.6958 0.6271
O20 0.5856 0.8042 0.1271
O21 0.6151 0.5063 0.3622
O22 0.6151 0.9937 0.8622
O23 0.7470 0.0519 0.3171
O24 0.7470 0.4481 0.8171
O25 0.7545 0.5216 0.1401
O26 0.7545 0.9784 0.6401
O27 0.8829 0.6941 0.4194
O28 0.8829 0.8059 0.9194
O29 0.9160 0.2003 0.4587
O30 0.9160 0.2997 0.9587
O31 0.9250 0.5073 0.6921
O32 0.9250 0.9927 0.1921

Peak list (12 most intense, 2θ = 15–90°, low angle first)
2θ/deg, I_rel
18.3, 24.3
22.4, 37.3
31.8, 86.6
32.0, 100.0
42.1, 7.4
45.6, 13.7
45.8, 28.6
56.4, 8.2
56.9, 13.3
57.0, 13.0
57.1, 9.1
63.2, 16.3



[5]
The following is a computed powder diffractogram of Li9Mn7O16. It was derived from DFT lattice parameters and positions (PBE+U), using Cu Kα X-rays.

Cell lengths 6.9543, 6.9543, 15.3768 Å; angles 95.05, 95.05, 23.92 degrees
Element x y z (fractional)
Li1 0.0000 0.0000 0.0000
Li2 0.0555 0.0555 0.1830
Li3 0.1874 0.1874 0.5624
Li4 0.3137 0.3137 0.9395
Li5 0.4393 0.4393 0.3123
Li6 0.5607 0.5607 0.6877
Li7 0.6863 0.6863 0.0605
Li8 0.8126 0.8126 0.4376
Li9 0.9445 0.9445 0.8170
Mn1 0.1268 0.1268 0.3740
Mn2 0.2463 0.2463 0.7536
Mn3 0.3851 0.3851 0.1201
Mn4 0.5000 0.5000 0.5000
Mn5 0.6149 0.6149 0.8799
Mn6 0.7537 0.7537 0.2464
Mn7 0.8732 0.8732 0.6260
O1 0.0324 0.0324 0.5848
O2 0.0941 0.0941 0.7932
O3 0.1539 0.1539 0.9605
O4 0.2315 0.2315 0.1589
O5 0.2835 0.2835 0.3317
O6 0.3419 0.3419 0.5407
O7 0.4044 0.4044 0.7105
O8 0.4856 0.4856 0.9024
O9 0.5144 0.5144 0.0976
O10 0.5956 0.5956 0.2895
O11 0.6581 0.6581 0.4593
O12 0.7165 0.7165 0.6683
O13 0.7685 0.7685 0.8411
O14 0.8461 0.8461 0.0395
O15 0.9059 0.9059 0.2068
O16 0.9676 0.9676 0.4152

Peak list (12 most intense, 2θ = 15–90°, low angle first)
2θ/deg, I_rel
18.2, 100.0
33.7, 19.2
36.1, 23.0
40.6, 34.5
44.1, 55.3
46.8, 9.7
58.1, 9.4
61.1, 15.9
61.8, 16.4
63.5, 7.1
64.7, 7.4
79.2, 6.9



[6]
The following is a computed powder diffractogram of BaLaFeO4. It was derived from DFT lattice parameters and positions (PBE+U), using Cu Kα X-rays.

Cell lengths 4.0080, 4.0080, 12.9991 Å; angles 90.00, 90.00, 90.00 degrees
Element x y z (fractional)
Ba1 0.0000 0.0000 0.0000
Ba2 0.5000 0.5000 0.5000
La1 0.0000 0.0000 0.7163
La2 0.5000 0.5000 0.2163
Fe1 0.0000 0.0000 0.3535
Fe2 0.5000 0.5000 0.8535
O1 0.0000 0.0000 0.1953
O2 0.0000 0.0000 0.5303
O3 0.0000 0.5000 0.3440
O4 0.0000 0.5000 0.8440
O5 0.5000 0.0000 0.3440
O6 0.5000 0.0000 0.8440
O7 0.5000 0.5000 0.0303
O8 0.5000 0.5000 0.6953

Peak list (12 most intense, 2θ = 15–90°, low angle first)
2θ/deg, I_rel
23.2, 23.0
27.4, 13.4
30.4, 100.0
31.6, 69.5
41.4, 12.5
41.7, 11.4
42.3, 30.6
45.2, 35.5
53.2, 14.1
55.5, 37.2
63.2, 12.0
81.5, 12.2



[7]
The following is a computed powder diffractogram of Li4Mn3V3Fe2O16. It was derived from DFT lattice parameters and positions (PBE+U), using Cu Kα X-rays.

Cell lengths 5.9145, 5.9150, 9.6129 Å; angles 89.12, 88.28, 60.24 degrees
Element x y z (fractional)
Li1 0.0000 0.0000 0.0000
Li2 0.0054 0.9782 0.4991
Li3 0.3350 0.3241 0.5997
Li4 0.6653 0.6623 0.1004
Mn1 0.1708 0.6477 0.2793
Mn2 0.6655 0.1554 0.2815
Mn3 0.8315 0.8243 0.7829
V1 0.1757 0.1500 0.2794
V2 0.3376 0.8300 0.7786
V3 0.8304 0.3328 0.7798
Fe1 0.3275 0.3367 0.0048
Fe2 0.6706 0.6461 0.5034
O1 0.0355 0.4806 0.1617
O2 0.1617 0.1655 0.8899
O3 0.1815 0.6741 0.8962
O4 0.3295 0.8161 0.3882
O5 0.3374 0.3254 0.3844
O6 0.4534 0.0311 0.1523
O7 0.4750 0.4772 0.1552
O8 0.5024 0.9513 0.6524
O9 0.5177 0.5087 0.6591
O10 0.6646 0.6658 0.8882
O11 0.6759 0.1737 0.8966
O12 0.8468 0.8162 0.3976
O13 0.8694 0.3089 0.3965
O14 0.9617 0.4941 0.6581
O15 0.9976 0.9883 0.6860
O16 0.9989 0.9816 0.1868

Peak list (12 most intense, 2θ = 15–90°, low angle first)
2θ/deg, I_rel
18.5, 100.0
19.4, 64.2
19.6, 51.7
19.9, 62.6
35.1, 29.7
35.4, 30.7
35.9, 30.0
36.2, 45.1
44.7, 36.2
45.3, 34.0
60.1, 28.8
62.9, 46.3